Starting from a cell relaxed with GGA-PBE, the powder XRD pattern of Ho4Al12Ag was simulated for Cu Kα X-rays.

abc: 8.6805 8.6805 8.6805
angles: 90.00 90.00 90.00
Space group Im-3m (No. 229)
Asymmetric unit:
Ho1 0.2500 0.2500 0.2500 [8 per cell]
Al1 0.0000 0.0000 0.3015 [12 per cell]
Al2 0.0000 0.2500 0.5000 [12 per cell]
Ag1 0.0000 0.0000 0.0000 [2 per cell]

Largest 12 diffraction maxima, low angle first, 15° ≤ 2θ ≤ 90°:
- 2θ 20.5, 4.340 Å, intensity 44, hkl 2 0 0
- 2θ 29.1, 3.069 Å, intensity 100, hkl 2 2 0
- 2θ 35.8, 2.506 Å, intensity 58, hkl 2 2 2
- 2θ 38.8, 2.320 Å, intensity 9, hkl 3 2 1
- 2θ 41.6, 2.170 Å, intensity 46, hkl 4 0 0
- 2θ 46.8, 1.941 Å, intensity 26, hkl 4 2 0
- 2θ 51.6, 1.772 Å, intensity 37, hkl 4 2 2
- 2θ 60.3, 1.535 Å, intensity 28, hkl 4 4 0
- 2θ 64.4, 1.447 Å, intensity 13, hkl 4 4 2
- 2θ 68.3, 1.373 Å, intensity 21, hkl 6 2 0
- 2θ 72.2, 1.309 Å, intensity 19, hkl 6 2 2
- 2θ 83.3, 1.160 Å, intensity 22, hkl 6 4 2